For Fe4O5F3, a DFT-relaxed cell (PBE+U, the Materials Project) gives the calculated powder diffraction line list in this record (Cu Kα (λ = 1.5418 Å)).

Top 10 peaks for 10 to 90 degrees two-theta, in order of rising 2θ:
two_theta, Rel. int.
26.39, 92
27.24, 93
34.96, 100
38.29, 15
40.33, 15
52.33, 51
53.30, 52
56.20, 15
60.45, 17
67.09, 45

Structural model:
Lattice parameters (Å, degrees): 5.6161 5.6161 9.4007 91.50 91.50 66.10
Fractional coordinates of all 24 atoms:
1 Fe 0.0000 0.5000 0.0000
2 Fe 0.0000 0.5000 0.5000
3 Fe 0.0145 0.0145 0.2307
4 Fe 0.4671 0.4671 0.7551
5 Fe 0.5000 0.0000 0.0000
6 Fe 0.5000 0.0000 0.5000
7 Fe 0.5329 0.5329 0.2449
8 Fe 0.9855 0.9855 0.7693
9 O 0.1433 0.6419 0.8527
10 O 0.1527 0.1527 0.9064
11 O 0.1576 0.1576 0.3991
12 O 0.3382 0.3382 0.5934
13 O 0.3581 0.8567 0.1473
14 O 0.6419 0.1433 0.8527
15 O 0.6618 0.6618 0.4066
16 O 0.8424 0.8424 0.6009
17 O 0.8473 0.8473 0.0936
18 O 0.8567 0.3581 0.1473
19 F 0.1652 0.6617 0.3432
20 F 0.3383 0.8348 0.6568
21 F 0.3571 0.3571 0.1057
22 F 0.6429 0.6429 0.8943
23 F 0.6617 0.1652 0.3432
24 F 0.8348 0.3383 0.6568

=====

For BaGdInWO6, a DFT-relaxed cell (PBE+U, the Materials Project) gives the calculated powder diffraction line list in this record (Cu Kα (λ = 1.5418 Å)).

Top 10 peaks for 10 to 90 degrees two-theta, in order of rising 2θ:
two_theta, Rel. int.
29.62, 100
42.29, 9
42.42, 19
52.53, 27
52.60, 14
61.45, 12
69.57, 6
69.76, 9
85.02, 11
85.17, 11

Structural model:
Lattice parameters (Å, degrees): 8.5172 8.5291 8.5486 90.00 90.00 90.00
Fractional coordinates of all 40 atoms:
1 Ba 0.2500 0.2500 0.2500
2 Ba 0.2500 0.2500 0.7500
3 Ba 0.7500 0.7500 0.2500
4 Ba 0.7500 0.7500 0.7500
5 Gd 0.0000 0.0000 0.0000
6 Gd 0.0000 0.5000 0.5000
7 Gd 0.5000 0.0000 0.5000
8 Gd 0.5000 0.5000 0.0000
9 In 0.2500 0.7500 0.2500
10 In 0.2500 0.7500 0.7500
11 In 0.7500 0.2500 0.2500
12 In 0.7500 0.2500 0.7500
13 W 0.0000 0.0000 0.5000
14 W 0.0000 0.5000 0.0000
15 W 0.5000 0.0000 0.0000
16 W 0.5000 0.5000 0.5000
17 O 0.0049 0.7294 0.0168
18 O 0.0049 0.7706 0.4832
19 O 0.0069 0.5159 0.7710
20 O 0.0069 0.9841 0.7290
21 O 0.2303 0.0198 0.4944
22 O 0.2303 0.4802 0.0056
23 O 0.2697 0.0198 0.0056
24 O 0.2697 0.4802 0.4944
25 O 0.4931 0.5159 0.7290
26 O 0.4931 0.9841 0.7710
27 O 0.4951 0.7294 0.4832
28 O 0.4951 0.7706 0.0168
29 O 0.5049 0.2294 0.9832
30 O 0.5049 0.2706 0.5168
31 O 0.5069 0.0159 0.2290
32 O 0.5069 0.4841 0.2710
33 O 0.7303 0.5198 0.5056
34 O 0.7303 0.9802 0.9944
35 O 0.7697 0.5198 0.9944
36 O 0.7697 0.9802 0.5056
37 O 0.9931 0.0159 0.2710
38 O 0.9931 0.4841 0.2290
39 O 0.9951 0.2294 0.5168
40 O 0.9951 0.2706 0.9832

=====

For FeP2Pb2O10, a DFT-relaxed cell (PBE+U, the Materials Project) gives the calculated powder diffraction line list in this record (Cu Kα (λ = 1.5418 Å)).

Top 10 peaks for 10 to 90 degrees two-theta, in order of rising 2θ:
two_theta, Rel. int.
18.74, 92
24.65, 91
26.85, 66
27.32, 46
27.49, 37
31.15, 100
32.84, 42
33.05, 48
38.95, 34
46.99, 29

Structural model:
Lattice parameters (Å, degrees): 4.7364 7.6410 11.0587 90.00 90.43 90.00
Fractional coordinates of all 30 atoms:
1 Fe 0.0000 0.0000 0.0000
2 Fe 0.0000 0.5000 0.5000
3 P 0.4989 0.2465 0.3960
4 P 0.4989 0.2535 0.8960
5 P 0.5011 0.7465 0.1040
6 P 0.5011 0.7535 0.6040
7 Pb 0.0116 0.1027 0.6823
8 Pb 0.0116 0.3973 0.1823
9 Pb 0.9884 0.6027 0.8177
10 Pb 0.9884 0.8973 0.3177
11 O 0.1493 0.6046 0.3638
12 O 0.1493 0.8954 0.8638
13 O 0.2641 0.6124 0.6185
14 O 0.2641 0.8876 0.1185
15 O 0.2817 0.2082 0.9952
16 O 0.2817 0.2918 0.4952
17 O 0.3469 0.2285 0.2723
18 O 0.3469 0.2715 0.7723
19 O 0.3476 0.5715 0.0733
20 O 0.3476 0.9285 0.5733
21 O 0.6524 0.0715 0.4267
22 O 0.6524 0.4285 0.9267
23 O 0.6531 0.7285 0.2277
24 O 0.6531 0.7715 0.7277
25 O 0.7183 0.7082 0.5048
26 O 0.7183 0.7918 0.0048
27 O 0.7359 0.1124 0.8815
28 O 0.7359 0.3876 0.3815
29 O 0.8507 0.1046 0.1362
30 O 0.8507 0.3954 0.6362

=====

For Eu3MoO7, a DFT-relaxed cell (PBE+U, the Materials Project) gives the calculated powder diffraction line list in this record (Cu Kα (λ = 1.5418 Å)).

Top 10 peaks for 10 to 90 degrees two-theta, in order of rising 2θ:
two_theta, Rel. int.
28.40, 100
28.94, 88
32.71, 23
33.48, 42
47.37, 18
47.51, 48
56.08, 11
56.47, 26
57.41, 16
76.42, 15

Structural model:
Lattice parameters (Å, degrees): 6.6279 6.6279 7.6766 90.00 90.00 68.59
Fractional coordinates of all 22 atoms:
1 Eu 0.0000 0.0000 0.0000
2 Eu 0.0000 0.0000 0.5000
3 Eu 0.0630 0.4763 0.7500
4 Eu 0.4763 0.0630 0.2500
5 Eu 0.5237 0.9370 0.7500
6 Eu 0.9370 0.5237 0.2500
7 Mo 0.5000 0.5000 0.0000
8 Mo 0.5000 0.5000 0.5000
9 O 0.1069 0.1570 0.2500
10 O 0.1570 0.1069 0.7500
11 O 0.1953 0.5575 0.0349
12 O 0.1953 0.5575 0.4651
13 O 0.4374 0.5626 0.7500
14 O 0.4425 0.8047 0.0349
15 O 0.4425 0.8047 0.4651
16 O 0.5575 0.1953 0.5349
17 O 0.5575 0.1953 0.9651
18 O 0.5626 0.4374 0.2500
19 O 0.8047 0.4425 0.5349
20 O 0.8047 0.4425 0.9651
21 O 0.8430 0.8931 0.2500
22 O 0.8931 0.8430 0.7500

=====

For LiFeP4O12, a DFT-relaxed cell (PBE+U, the Materials Project) gives the calculated powder diffraction line list in this record (Cu Kα (λ = 1.5418 Å)).

Top 10 peaks for 10 to 90 degrees two-theta, in order of rising 2θ:
two_theta, Rel. int.
11.52, 35
15.58, 100
16.09, 44
16.50, 56
19.57, 32
24.01, 31
24.35, 96
26.66, 90
27.20, 35
28.82, 64

Structural model:
Lattice parameters (Å, degrees): 7.2640 8.4622 7.6881 90.00 92.06 90.00
Fractional coordinates of all 36 atoms:
1 Li 0.2352 0.0000 0.1481
2 Li 0.7648 0.5000 0.8519
3 Fe 0.2448 0.7971 0.6701
4 Fe 0.7552 0.2971 0.3299
5 P 0.1261 0.4279 0.5616
6 P 0.1486 0.3737 0.1945
7 P 0.4182 0.5933 0.0237
8 P 0.4322 0.1821 0.6271
9 P 0.5678 0.6821 0.3729
10 P 0.5818 0.0933 0.9763
11 P 0.8514 0.8737 0.8055
12 P 0.8739 0.9279 0.4384
13 O 0.0535 0.8384 0.4565
14 O 0.0594 0.8871 0.8328
15 O 0.1174 0.5799 0.6609
16 O 0.2071 0.4650 0.3746
17 O 0.2308 0.2142 0.1955
18 O 0.2319 0.4929 0.0567
19 O 0.2837 0.3212 0.6577
20 O 0.3369 0.0254 0.6195
21 O 0.3699 0.7020 0.8757
22 O 0.4201 0.9893 0.9886
23 O 0.4378 0.7016 0.1992
24 O 0.4493 0.7278 0.5209
25 O 0.5507 0.2278 0.4791
26 O 0.5622 0.2016 0.8008
27 O 0.5799 0.4893 0.0114
28 O 0.6301 0.2020 0.1243
29 O 0.6631 0.5254 0.3805
30 O 0.7163 0.8212 0.3423
31 O 0.7681 0.9929 0.9433
32 O 0.7692 0.7142 0.8045
33 O 0.7929 0.9650 0.6254
34 O 0.8826 0.0799 0.3391
35 O 0.9406 0.3871 0.1672
36 O 0.9465 0.3384 0.5435

=====

For Na3Mn2P2C2O14, a DFT-relaxed cell (PBE+U, the Materials Project) gives the calculated powder diffraction line list in this record (Cu Kα (λ = 1.5418 Å)).

Top 10 peaks for 10 to 90 degrees two-theta, in order of rising 2θ:
two_theta, Rel. int.
16.55, 52
16.84, 53
19.46, 37
19.93, 41
24.40, 41
25.80, 81
27.13, 100
33.49, 61
34.06, 43
34.46, 60

Structural model:
Lattice parameters (Å, degrees): 8.3196 8.4547 10.2869 108.41 106.45 103.25
Fractional coordinates of all 46 atoms:
1 Na 0.0041 0.4917 0.2371
2 Na 0.2346 0.2321 0.2335
3 Na 0.2709 0.2317 0.7507
4 Na 0.7291 0.7683 0.2493
5 Na 0.7654 0.7679 0.7665
6 Na 0.9959 0.5083 0.7629
7 Mn 0.2019 0.9389 0.3475
8 Mn 0.3079 0.5616 0.6505
9 Mn 0.6921 0.4384 0.3495
10 Mn 0.7981 0.0611 0.6525
11 P 0.0553 0.8001 0.5720
12 P 0.4476 0.6856 0.4245
13 P 0.5524 0.3144 0.5755
14 P 0.9447 0.1999 0.4280
15 C 0.0273 0.7811 0.0794
16 C 0.4672 0.7220 0.9202
17 C 0.5328 0.2780 0.0798
18 C 0.9727 0.2189 0.9206
19 O 0.0194 0.2669 0.8221
20 O 0.0233 0.0964 0.3277
21 O 0.0579 0.2978 0.0579
22 O 0.0937 0.3438 0.5792
23 O 0.1559 0.7068 0.6586
24 O 0.1747 0.9212 0.1437
25 O 0.1814 0.9288 0.5329
26 O 0.3178 0.5797 0.8520
27 O 0.3201 0.5512 0.4616
28 O 0.3318 0.7519 0.3264
29 O 0.4061 0.1681 0.4296
30 O 0.4484 0.2032 0.9448
31 O 0.4682 0.4239 0.6732
32 O 0.4877 0.2312 0.1797
33 O 0.5123 0.7688 0.8203
34 O 0.5318 0.5761 0.3268
35 O 0.5516 0.7968 0.0552
36 O 0.5939 0.8319 0.5704
37 O 0.6682 0.2481 0.6736
38 O 0.6799 0.4488 0.5384
39 O 0.6822 0.4203 0.1480
40 O 0.8186 0.0712 0.4671
41 O 0.8253 0.0788 0.8563
42 O 0.8441 0.2932 0.3414
43 O 0.9063 0.6562 0.4208
44 O 0.9421 0.7022 0.9421
45 O 0.9767 0.9036 0.6723
46 O 0.9806 0.7331 0.1779